Record 1
For Dy2AlCd2, a crystal structure in Alexandria, relaxed with GGA-PBE gives the calculated PXRD pattern in this record (λ = 1.5418 Å (Cu Kα)).

Main lines, in order of rising 2θ (2θ from 15° to 90°):
- 2θ 19.7, 4.510 Å, I = 28.9
- 2θ 28.9, 3.087 Å, I = 26.6
- 2θ 33.1, 2.710 Å, I = 93.0
- 2θ 35.5, 2.529 Å, I = 100.0
- 2θ 35.7, 2.512 Å, I = 42.9
- 2θ 37.3, 2.412 Å, I = 51.8
- 2θ 38.0, 2.365 Å, I = 42.8
- 2θ 53.2, 1.722 Å, I = 27.4
- 2θ 65.6, 1.423 Å, I = 27.7
- 2θ 66.4, 1.408 Å, I = 31.3

Cell and atoms:
```
data_Dy2AlCd2
_chemical_formula_sum 'Dy4 Al2 Cd4'
_cell_length_a 4.730
_cell_length_b 14.966
_cell_length_c 3.389
_cell_angle_alpha 90.00
_cell_angle_beta 90.00
_cell_angle_gamma 90.00
_space_group_name_H-M_alt 'C m m m'
_space_group_IT_number 65
_space_group_name_Hall '-C 2 2'
loop_
_atom_site_label
_atom_site_type_symbol
_atom_site_fract_x
_atom_site_fract_y
_atom_site_fract_z
Dy1 Dy 0.000 0.108 0.000
Al1 Al 0.000 0.500 0.500
Cd1 Cd 0.000 0.303 0.500
```

---

Record 2
For Tb7Ho2Tl2, a crystal structure in Alexandria, relaxed with GGA-PBE gives the calculated PXRD pattern in this record (λ = 1.5418 Å (Cu Kα)).

Main lines, in order of rising 2θ (2θ from 15° to 90°):
- 2θ 30.8, 2.903 Å, I = 57.8
- 2θ 31.1, 2.880 Å, I = 36.4
- 2θ 31.8, 2.812 Å, I = 100.0
- 2θ 33.6, 2.665 Å, I = 33.0
- 2θ 36.1, 2.486 Å, I = 25.6
- 2θ 37.2, 2.417 Å, I = 19.2
- 2θ 44.6, 2.033 Å, I = 15.7
- 2θ 50.1, 1.822 Å, I = 22.3
- 2θ 60.0, 1.543 Å, I = 17.5
- 2θ 62.3, 1.490 Å, I = 21.3

Cell and atoms:
```
data_Tb7Ho2Tl2
_chemical_formula_sum 'Tb14 Ho4 Tl4'
_cell_length_a 3.642
_cell_length_b 19.885
_cell_length_c 9.686
_cell_angle_alpha 90.00
_cell_angle_beta 90.00
_cell_angle_gamma 90.00
_space_group_name_H-M_alt 'I m m 2'
_space_group_IT_number 44
loop_
_space_group_symop_operation_xyz
'x,y,z'
'-x,-y,z'
'-x,y,z'
'x,-y,z'
'x+1/2,y+1/2,z+1/2'
'-x+1/2,-y+1/2,z+1/2'
'-x+1/2,y+1/2,z+1/2'
'x+1/2,-y+1/2,z+1/2'
loop_
_atom_site_label
_atom_site_type_symbol
_atom_site_fract_x
_atom_site_fract_y
_atom_site_fract_z
Tb1 Tb 0.000 0.000 0.000
Tb2 Tb 0.000 0.131 0.466
Tb3 Tb 0.000 0.340 0.659
Tb4 Tb 0.000 0.367 0.287
Ho1 Ho 0.000 0.000 0.652
Ho2 Ho 0.000 0.500 0.823
Tl1 Tl 0.000 0.243 0.946
```

---

Record 3
For U4AsPS2, a crystal structure in Alexandria, relaxed with GGA-PBE gives the calculated PXRD pattern in this record (λ = 1.5418 Å (Cu Kα)).

Main lines, in order of rising 2θ (2θ from 15° to 90°):
- 2θ 27.5, 3.239 Å, I = 44.3
- 2θ 28.0, 3.192 Å, I = 42.7
- 2θ 32.1, 2.784 Å, I = 100.0
- 2θ 45.5, 1.992 Å, I = 12.8
- 2θ 46.1, 1.968 Å, I = 49.2
- 2θ 54.3, 1.690 Å, I = 14.8
- 2θ 55.0, 1.670 Å, I = 14.3
- 2θ 56.8, 1.620 Å, I = 13.4
- 2θ 57.8, 1.596 Å, I = 12.8
- 2θ 76.5, 1.245 Å, I = 23.2

Cell and atoms:
```
data_U4AsPS2
_chemical_formula_sum 'U16 As4 P4 S8'
_cell_length_a 7.794
_cell_length_b 7.968
_cell_length_c 11.127
_cell_angle_alpha 90.00
_cell_angle_beta 90.00
_cell_angle_gamma 90.00
_space_group_name_H-M_alt 'F m m m'
_space_group_IT_number 69
_space_group_name_Hall '-F 2 2'
loop_
_atom_site_label
_atom_site_type_symbol
_atom_site_fract_x
_atom_site_fract_y
_atom_site_fract_z
U1 U 0.000 0.000 0.245
U2 U 0.250 0.250 0.000
As1 As 0.000 0.000 0.500
P1 P 0.000 0.000 0.000
S1 S 0.250 0.250 0.250
```

---

Record 4
For Tb3InAg2, a crystal structure in Alexandria, relaxed with GGA-PBE gives the calculated PXRD pattern in this record (λ = 1.5418 Å (Cu Kα)).

Main lines, in order of rising 2θ (2θ from 15° to 90°):
- 2θ 34.0, 2.634 Å, I = 100.0
- 2θ 35.0, 2.565 Å, I = 47.3
- 2θ 47.5, 1.915 Å, I = 9.4
- 2θ 50.3, 1.813 Å, I = 16.6
- 2θ 60.3, 1.535 Å, I = 17.8
- 2θ 62.1, 1.494 Å, I = 34.5
- 2θ 71.7, 1.317 Å, I = 10.5
- 2θ 79.6, 1.204 Å, I = 7.2
- 2θ 83.9, 1.153 Å, I = 7.7
- 2θ 84.5, 1.147 Å, I = 7.4

Cell and atoms:
```
data_Tb3InAg2
_chemical_formula_sum 'Tb3 In1 Ag2'
_cell_length_a 3.627
_cell_length_b 3.627
_cell_length_c 11.492
_cell_angle_alpha 90.00
_cell_angle_beta 90.00
_cell_angle_gamma 90.00
_space_group_name_H-M_alt 'P 4/m m m'
_space_group_IT_number 123
_space_group_name_Hall '-P 4 2'
loop_
_atom_site_label
_atom_site_type_symbol
_atom_site_fract_x
_atom_site_fract_y
_atom_site_fract_z
Tb1 Tb 0.000 0.000 0.000
Tb2 Tb 0.000 0.000 0.323
In1 In 0.500 0.500 0.500
Ag1 Ag 0.500 0.500 0.162
```